(1)
# SrLi10Cd
Simulated powder X-ray diffraction pattern, copper Kα. Input: the PBE geometry in Alexandria.
Kinematic intensities with the Lorentz-polarization factor, no thermal factor.

Structure:
```
data_SrLi10Cd
_chemical_formula_sum 'Sr1 Li10 Cd1'
_space_group_name_H-M_alt 'P 1'
_space_group_IT_number 1
_cell_length_a 4.8197
_cell_length_b 5.6947
_cell_length_c 10.0909
_cell_angle_alpha 90.00
_cell_angle_beta 90.00
_cell_angle_gamma 90.00
loop_
_space_group_symop_operation_xyz
'x,y,z'
loop_
_atom_site_label
_atom_site_type_symbol
_atom_site_fract_x
_atom_site_fract_y
_atom_site_fract_z
Sr1 Sr 0.0000 0.0000 0.0000
Li1 Li 0.0000 0.0000 0.3567
Li2 Li 0.0000 0.0000 0.6433
Li3 Li 0.0000 0.5000 0.2055
Li4 Li 0.0000 0.5000 0.7945
Li5 Li 0.5000 0.0000 0.5000
Li6 Li 0.5000 0.2604 0.2739
Li7 Li 0.5000 0.2604 0.7261
Li8 Li 0.5000 0.5000 0.0000
Li9 Li 0.5000 0.7396 0.2739
Li10 Li 0.5000 0.7396 0.7261
Cd1 Cd 0.0000 0.5000 0.5000
```

Largest 12 diffraction maxima, most intense first, 5 to 70 degrees two-theta:
| d [Å] | I/Imax |
| --- | --- |
| 3.456 | 100 |
| 4.959 | 95 |
| 2.482 | 76 |
| 3.485 | 50 |
| 4.820 | 50 |
| 5.045 | 49 |
| 2.896 | 33 |
| 2.451 | 26 |
| 2.168 | 22 |
| 1.741 | 22 |
| 2.205 | 18 |
| 1.852 | 18 |

(2)
# Zn4Ag3
Simulated powder X-ray diffraction pattern, copper Kα. Input: the PBE geometry in Alexandria.
Kinematic intensities with the Lorentz-polarization factor, no thermal factor.

Structure:
```
data_Zn4Ag3
_chemical_formula_sum 'Zn4 Ag3'
_space_group_name_H-M_alt 'P 1'
_space_group_IT_number 1
_cell_length_a 12.8271
_cell_length_b 12.8271
_cell_length_c 12.8271
_cell_angle_alpha 166.66
_cell_angle_beta 166.66
_cell_angle_gamma 18.91
loop_
_space_group_symop_operation_xyz
'x,y,z'
loop_
_atom_site_label
_atom_site_type_symbol
_atom_site_fract_x
_atom_site_fract_y
_atom_site_fract_z
Zn1 Zn 0.0722 0.0722 0.0000
Zn2 Zn 0.3618 0.3618 0.0000
Zn3 Zn 0.6382 0.6382 0.0000
Zn4 Zn 0.9278 0.9278 0.0000
Ag1 Ag 0.2094 0.2094 0.0000
Ag2 Ag 0.5000 0.5000 0.0000
Ag3 Ag 0.7906 0.7906 0.0000
```

Largest 12 diffraction maxima, most intense first, 5 to 70 degrees two-theta:
| d [Å] | I/Imax |
| --- | --- |
| 2.299 | 100 |
| 2.107 | 40 |
| 1.372 | 16 |
| 1.490 | 13 |
| 1.808 | 11 |
| 2.809 | 6 |
| 6.326 | 3 |
| 2.531 | 2 |
| 1.619 | 2 |
| 2.568 | 1 |
| 12.653 | 1 |
| 1.999 | 1 |

(3)
# ZnSeO5
Simulated powder X-ray diffraction pattern, copper Kα. Input: the PBE geometry in Alexandria.
Kinematic intensities with the Lorentz-polarization factor, no thermal factor.

Structure:
```
data_ZnSeO5
_chemical_formula_sum 'Zn4 Se4 O20'
_space_group_name_H-M_alt 'P 1'
_space_group_IT_number 1
_cell_length_a 5.1331
_cell_length_b 9.6305
_cell_length_c 9.8294
_cell_angle_alpha 90.00
_cell_angle_beta 112.00
_cell_angle_gamma 90.00
loop_
_space_group_symop_operation_xyz
'x,y,z'
loop_
_atom_site_label
_atom_site_type_symbol
_atom_site_fract_x
_atom_site_fract_y
_atom_site_fract_z
Zn1 Zn 0.0293 0.1209 0.3992
Zn2 Zn 0.0293 0.3791 0.8992
Zn3 Zn 0.9707 0.6209 0.1008
Zn4 Zn 0.9707 0.8791 0.6008
Se1 Se 0.3455 0.6738 0.8775
Se2 Se 0.3455 0.8262 0.3775
Se3 Se 0.6545 0.1738 0.6225
Se4 Se 0.6545 0.3262 0.1225
O1 O 0.0720 0.0474 0.9908
O2 O 0.0720 0.4526 0.4908
O3 O 0.0942 0.5909 0.9292
O4 O 0.0942 0.9091 0.4292
O5 O 0.1980 0.6758 0.2996
O6 O 0.1980 0.8242 0.7996
O7 O 0.3952 0.2185 0.4639
O8 O 0.3952 0.2815 0.9639
O9 O 0.4377 0.5658 0.7765
O10 O 0.4377 0.9342 0.2765
O11 O 0.5623 0.0658 0.7235
O12 O 0.5623 0.4342 0.2235
O13 O 0.6048 0.7185 0.0361
O14 O 0.6048 0.7815 0.5361
O15 O 0.8020 0.1758 0.2004
O16 O 0.8020 0.3242 0.7004
O17 O 0.9058 0.0909 0.5708
O18 O 0.9058 0.4091 0.0708
O19 O 0.9280 0.5474 0.5092
O20 O 0.9280 0.9526 0.0092
```

Largest 12 diffraction maxima, most intense first, 5 to 70 degrees two-theta:
| d [Å] | I/Imax |
| --- | --- |
| 6.619 | 100 |
| 3.820 | 57 |
| 3.028 | 40 |
| 2.929 | 35 |
| 4.266 | 29 |
| 2.808 | 28 |
| 3.148 | 26 |
| 2.637 | 16 |
| 4.161 | 14 |
| 2.251 | 12 |
| 1.522 | 11 |
| 3.385 | 10 |